This entry pairs a crystal structure of CsK2Ni3F12 with its simulated powder diffraction line list. Radiation: Cu Kα, 1.54184 Å. Structure: a DFT-relaxed cell (PBE+U, Alexandria).
Peak positions follow from Bragg's law for the DFT cell and can differ from measured ones.

Principal peaks in the range 2θ = 10–90°, in order of rising 2θ:
d (Å), 2theta, I (rel.)
5.994, 14.78, 77
3.154, 28.30, 24
3.135, 28.47, 100
2.997, 29.81, 45
2.320, 38.81, 15
1.998, 45.39, 29
1.833, 49.74, 32
1.577, 58.53, 18

Structural model:
a = 7.3321 Å, b = 7.3321 Å, c = 18.1702 Å
α = 90.00°, β = 90.00°, γ = 120.00°
Space group R-3m (No. 166, hexagonal axes)
Symmetry-distinct sites (fractional):
Cs: 0.0000 0.0000 0.0000 [3 per cell]
K: 0.0000 0.0000 0.3811 [6 per cell]
Ni: 0.0000 0.5000 0.5000 [9 per cell]
F: 0.0697 0.5349 0.8120 [18 per cell]
F: 0.0708 0.5354 0.4045 [18 per cell]